No. 1
Starting from DFT lattice parameters and positions (PBE+U), the X-ray powder pattern of La2MgFe2Te2O12 was calculated for Cu Kα X-rays.
No peak broadening, texture or thermal motion is included.

a = 5.4518 Å, b = 5.4518 Å, c = 10.3362 Å
α = 90.00°, β = 90.00°, γ = 120.00°
Space group P3 (No. 143)
Inequivalent atoms, fractional coordinates:
La  0.0000  0.0000  0.0000 [1 per cell]
La  0.0000  0.0000  0.4753 [1 per cell]
Mg  0.3333  0.6667  0.4739 [1 per cell]
Fe  0.3333  0.6667  0.2178 [1 per cell]
Fe  0.6667  0.3333  0.7306 [1 per cell]
Te  0.3333  0.6667  0.7479 [1 per cell]
Te  0.6667  0.3333  0.2336 [1 per cell]
O  0.0086  0.3742  0.8402 [3 per cell]
O  0.0282  0.6194  0.6245 [3 per cell]
O  0.0563  0.3693  0.3519 [3 per cell]
O  0.3761  0.3676  0.1215 [3 per cell]

Main lines, by angle (10° ≤ 2θ ≤ 90°):
(1 0 2), 3.486 Å, rel. 100
(1 1 0), 2.726 Å, rel. 43
(0 2 2), 2.147 Å, rel. 25
(2 -1 4), 1.875 Å, rel. 44
(3 -1 2), 1.687 Å, rel. 24
(3 0 0), 1.574 Å, rel. 15



No. 2
Starting from DFT lattice parameters and positions (PBE+U), the X-ray powder pattern of Ba2Nd2Fe3CoO12 was calculated for Cu Kα X-rays.
No peak broadening, texture or thermal motion is included.

a = 5.5538 Å, b = 5.5538 Å, c = 7.9344 Å
α = 90.00°, β = 90.00°, γ = 90.00°
Space group P-4m2 (No. 115)
Inequivalent atoms, fractional coordinates:
Ba  0.0000  0.5000  0.2498 [2 per cell]
Nd  0.0000  0.5000  0.7430 [2 per cell]
Fe  0.0000  0.0000  0.0000 [1 per cell]
Fe  0.0000  0.0000  0.5000 [1 per cell]
Fe  0.5000  0.5000  0.0000 [1 per cell]
Co  0.5000  0.5000  0.5000 [1 per cell]
O  0.0000  0.0000  0.2529 [2 per cell]
O  0.2493  0.2493  0.0000 [4 per cell]
O  0.2553  0.2553  0.5000 [4 per cell]
O  0.5000  0.5000  0.2520 [2 per cell]

Main lines, by angle (10° ≤ 2θ ≤ 90°):
(1 1 2), 2.791 Å, rel. 100
(2 0 0), 2.777 Å, rel. 49
(2 0 2), 2.275 Å, rel. 27
(2 2 0), 1.964 Å, rel. 32
(3 1 2), 1.606 Å, rel. 38
(2 2 4), 1.395 Å, rel. 19